No. 1
Starting from a DFT-relaxed cell (GGA-PBE, Alexandria), the powder diffractogram of AlZn4Ga4 was calculated for Cu Kα, 1.54184 Å.
Lines closer than 0.1° are merged.

Principal peaks in the range 10 to 90 degrees two-theta, low angle first:
2θ (°)  I_rel  (hkl)
14.64  4  1 1 0
23.90  3  1 0 1
38.33  100  3 0 1
43.77  17  0 0 2
44.94  31  3 3 0
64.54  20  3 3 2
65.44  10  6 0 0
76.79  12  3 0 3
78.46  22  6 3 1
82.08  10  6 0 2

Cell and atoms:
Unit cell a=8.5575 b=8.5575 c=4.1360 alpha=90.00 beta=90.00 gamma=90.00
Space group I4/mmm (No. 139)
Inequivalent atoms, fractional coordinates:
Al (0.0000, 0.0000, 0.0000) (multiplicity 2)
Zn (0.0000, 0.3405, 0.0000) (multiplicity 8)
Ga (0.1665, 0.1665, 0.5000) (multiplicity 8)

No. 2
Starting from a DFT-relaxed cell (GGA-PBE, Alexandria), the powder diffractogram of Al12ZnGa7 was calculated for Cu Kα, 1.54184 Å.
Lines closer than 0.1° are merged.

Principal peaks in the range 10 to 90 degrees two-theta, low angle first:
2θ (°)  I_rel  (hkl)
13.31  28  1 0 1
22.15  17  0 1 2
26.80  17  2 0 2
34.35  34  2 -1 3
37.65  17  4 -1 2
40.12  100  4 1 0
40.69  46  3 0 3
43.56  33  4 -2 3
47.85  17  3 -1 4
78.40  21  5 -4 6

Cell and atoms:
Unit cell a=11.8916 b=11.8916 c=8.7160 alpha=90.00 beta=90.00 gamma=120.00
Space group R-3 (No. 148, hexagonal axes)
Inequivalent atoms, fractional coordinates:
Al (0.0565, 0.8342, 0.2526) (multiplicity 18)
Al (0.0578, 0.8157, 0.5805) (multiplicity 18)
Zn (0.0000, 0.0000, 0.0000) (multiplicity 3)
Ga (0.0000, 0.0000, 0.5000) (multiplicity 3)
Ga (0.0569, 0.8195, 0.9100) (multiplicity 18)

No. 3
Starting from a DFT-relaxed cell (GGA-PBE, Alexandria), the powder diffractogram of Al4Zn2Ga3 was calculated for Cu Kα, 1.54184 Å.
Lines closer than 0.1° are merged.

Principal peaks in the range 10 to 90 degrees two-theta, low angle first:
2θ (°)  I_rel  (hkl)
15.02  80  0 2 0
27.77  85  2 2 -1
31.69  100  3 1 -1
34.16  54  3 1 1
38.53  86  2 4 -1
39.32  67  1 5 0
41.37  95  1 3 2
41.65  40  2 2 2
44.84  42  4 2 1
49.60  43  1 1 -3

Cell and atoms:
Unit cell a=9.7147 b=11.7933 c=5.6121 alpha=90.00 beta=95.10 gamma=90.00
Space group C2/c (No. 15)
Inequivalent atoms, fractional coordinates:
Al (0.1053, 0.0863, 0.4653) (multiplicity 8)
Al (0.1242, 0.4966, 0.3904) (multiplicity 8)
Zn (0.1627, 0.3018, 0.6553) (multiplicity 8)
Ga (0.0000, 0.2891, 0.2500) (multiplicity 4)
Ga (0.1615, 0.1377, 0.9637) (multiplicity 8)

No. 4
Starting from a DFT-relaxed cell (GGA-PBE, Alexandria), the powder diffractogram of Al6ZnGa10 was calculated for Cu Kα, 1.54184 Å.
Lines closer than 0.1° are merged.

Principal peaks in the range 10 to 90 degrees two-theta, low angle first:
2θ (°)  I_rel  (hkl)
20.49  18  1 1 0
28.44  21  1 1 -1
35.14  23  2 -1 0
37.08  20  -2 1 1
37.91  39  2 -1 1
38.59  100  0 0 3
39.28  58  0 3 0
39.89  46  0 3 3
43.16  26  -2 1 2
44.64  19  2 -1 2

Cell and atoms:
Unit cell a=5.6224 b=7.8671 c=8.0936 alpha=61.01 beta=79.43 gamma=84.29
Space group P-1 (No. 2)
Inequivalent atoms, fractional coordinates:
Al (0.0084, 0.1648, 0.3310) (multiplicity 2)
Al (0.1717, 0.8771, 0.9592) (multiplicity 2)
Al (0.2800, 0.5169, 0.6390) (multiplicity 2)
Zn (0.0000, 0.5000, 0.0000) (multiplicity 1)
Ga (0.0336, 0.2178, 0.6444) (multiplicity 2)
Ga (0.2516, 0.5135, 0.2535) (multiplicity 2)
Ga (0.3282, 0.2069, 0.0105) (multiplicity 2)
Ga (0.4667, 0.8389, 0.3032) (multiplicity 2)
Ga (0.4815, 0.8210, 0.6674) (multiplicity 2)

No. 5
Starting from a DFT-relaxed cell (GGA-PBE, Alexandria), the powder diffractogram of Al2ZnGa3 was calculated for Cu Kα, 1.54184 Å.
Lines closer than 0.1° are merged.

Principal peaks in the range 10 to 90 degrees two-theta, low angle first:
2θ (°)  I_rel  (hkl)
11.82  28  0 0 1
22.50  22  0 1 -1
35.74  86  1 1 -1
35.98  100  0 0 3
37.03  85  1 -1 1
41.50  58  -1 1 2
43.85  57  0 2 1
45.92  93  0 2 -2
62.21  20  1 -1 4
71.50  20  -1 1 5

Cell and atoms:
Unit cell a=3.1820 b=4.4230 c=7.5616 alpha=94.90 beta=96.22 gamma=90.93
Space group P-1 (No. 2)
Inequivalent atoms, fractional coordinates:
Al (0.0720, 0.3417, 0.3275) (multiplicity 2)
Zn (0.5000, 0.5000, 0.0000) (multiplicity 1)
Ga (0.0000, 0.0000, 0.0000) (multiplicity 1)
Ga (0.4263, 0.1594, 0.6723) (multiplicity 2)

No. 6
Starting from a DFT-relaxed cell (GGA-PBE, Alexandria), the powder diffractogram of Al3Zn2Ga8 was calculated for Cu Kα, 1.54184 Å.
Lines closer than 0.1° are merged.

Principal peaks in the range 10 to 90 degrees two-theta, low angle first:
2θ (°)  I_rel  (hkl)
28.84  33  0 2 1
34.76  62  2 2 1
38.16  100  4 2 -1
38.86  46  1 1 -2
39.21  22  5 1 -1
39.61  19  4 0 1
43.86  38  0 4 0
45.44  15  6 0 0
46.99  29  3 3 1
68.89  15  1 5 -2

Cell and atoms:
Unit cell a=12.3806 b=8.2559 c=4.8381 alpha=90.00 beta=104.64 gamma=90.00
Space group C2/m (No. 12)
Inequivalent atoms, fractional coordinates:
Al (0.0000, 0.0000, 0.0000) (multiplicity 2)
Al (0.0000, 0.2077, 0.5000) (multiplicity 4)
Zn (0.1841, 0.5000, 0.8071) (multiplicity 4)
Ga (0.0632, 0.5000, 0.2736) (multiplicity 4)
Ga (0.1522, 0.2305, 0.0799) (multiplicity 8)
Ga (0.1821, 0.0000, 0.5679) (multiplicity 4)